1.
Diffraction record for SrGa4IrRu2. The X-ray powder pattern is theoretical, not measured: it uses a cell relaxed with PBE and Cu Kα.
Peak positions follow from Bragg's law for the DFT cell and can differ from measured ones.

Principal peaks in the range 10 to 80 degrees two-theta, sorted by position:
| 2theta | I_rel |
| --- | --- |
| 27.37 | 25 |
| 35.48 | 74 |
| 42.44 | 100 |
| 43.39 | 54 |
| 43.61 | 22 |
| 56.48 | 19 |

Cell and atoms:
```
SrGa4IrRu2
1.0
2.130 1.230 9.271
-2.130 1.230 9.271
0.000 -2.459 9.271
Sr Ga Ir Ru
1 4 1 2
direct
0.000 0.000 0.000
0.132 0.132 0.132
0.408 0.408 0.408
0.592 0.592 0.592
0.868 0.868 0.868
0.500 0.500 0.500
0.230 0.230 0.230
0.770 0.770 0.770
```

2.
Diffraction record for La2Dy6Tm3. The X-ray powder pattern is theoretical, not measured: it uses a cell relaxed with PBE and Cu Kα.
Peak positions follow from Bragg's law for the DFT cell and can differ from measured ones.

Principal peaks in the range 10 to 80 degrees two-theta, sorted by position:
| 2theta | I_rel |
| --- | --- |
| 30.82 | 34 |
| 31.10 | 100 |
| 35.38 | 24 |
| 36.28 | 44 |
| 51.77 | 16 |
| 62.07 | 18 |

Cell and atoms:
```
La2Dy6Tm3
1.0
3.071 -5.237 0.000
3.071 5.237 0.000
-1.776 0.000 11.605
La Dy Tm
2 6 3
direct
0.175 0.825 0.000
0.825 0.175 0.000
0.072 0.406 0.741
0.261 0.261 0.255
0.406 0.072 0.741
0.594 0.928 0.259
0.739 0.739 0.745
0.928 0.594 0.259
0.000 0.000 0.500
0.335 0.665 0.500
0.665 0.335 0.500
```

3.
Diffraction record for Cd3In5Pb3. The X-ray powder pattern is theoretical, not measured: it uses a cell relaxed with PBE and Cu Kα.
Peak positions follow from Bragg's law for the DFT cell and can differ from measured ones.

Principal peaks in the range 10 to 80 degrees two-theta, sorted by position:
| 2theta | I_rel |
| --- | --- |
| 28.63 | 53 |
| 32.35 | 83 |
| 34.58 | 100 |
| 37.77 | 45 |
| 43.74 | 46 |
| 51.14 | 39 |

Cell and atoms:
```
Cd3In5Pb3
1.0
10.800 0.000 0.000
-5.400 9.353 0.000
0.000 0.000 3.223
Cd In Pb
3 5 3
direct
0.000 0.840 0.000
0.160 0.160 0.000
0.840 0.000 0.000
0.000 0.323 0.000
0.323 0.000 0.000
0.333 0.667 0.000
0.667 0.333 0.000
0.677 0.677 0.000
0.000 0.586 0.500
0.414 0.414 0.500
0.586 0.000 0.500
```

4.
Diffraction record for Pm4Nd5Y2. The X-ray powder pattern is theoretical, not measured: it uses a cell relaxed with PBE and Cu Kα.
Peak positions follow from Bragg's law for the DFT cell and can differ from measured ones.

Principal peaks in the range 10 to 80 degrees two-theta, sorted by position:
| 2theta | I_rel |
| --- | --- |
| 29.01 | 82 |
| 29.74 | 89 |
| 31.08 | 100 |
| 31.62 | 73 |
| 32.14 | 59 |
| 32.51 | 51 |

Cell and atoms:
```
Pm4Nd5Y2
1.0
5.661 -3.741 0.000
5.661 3.741 0.000
-2.608 0.000 9.008
Pm Nd Y
4 5 2
direct
0.168 0.168 0.119
0.195 0.195 0.497
0.805 0.805 0.503
0.832 0.832 0.881
0.149 0.712 0.231
0.288 0.851 0.769
0.500 0.500 0.500
0.712 0.149 0.231
0.851 0.288 0.769
0.358 0.358 0.877
0.642 0.642 0.123
```

5.
Diffraction record for SrPu2I6. The X-ray powder pattern is theoretical, not measured: it uses a cell relaxed with PBE and Cu Kα.
Peak positions follow from Bragg's law for the DFT cell and can differ from measured ones.

Principal peaks in the range 10 to 80 degrees two-theta, sorted by position:
| 2theta | I_rel |
| --- | --- |
| 11.56 | 71 |
| 24.99 | 47 |
| 25.47 | 100 |
| 32.76 | 49 |
| 39.28 | 35 |
| 41.96 | 29 |

Cell and atoms:
```
SrPu2I6
1.0
8.556 -2.276 0.000
8.556 2.276 0.000
-3.212 0.000 10.690
Sr Pu I
1 2 6
direct
0.000 0.000 0.000
0.329 0.329 0.653
0.671 0.671 0.347
0.033 0.033 0.308
0.304 0.304 0.362
0.357 0.357 0.954
0.643 0.643 0.046
0.696 0.696 0.638
0.967 0.967 0.692
```